(1)
Dy4TcGe8: computed PXRD pattern (Cu Kα X-rays), based on the GGA-PBE geometry in Alexandria.

Top 6 peaks for 10 to 80 degrees two-theta, by angle:
2θ = 33.46°, d 2.678, intensity 12
2θ = 35.13°, d 2.554, intensity 100
2θ = 40.46°, d 2.229, intensity 11
2θ = 43.04°, d 2.102, intensity 18
2θ = 45.06°, d 2.012, intensity 16
2θ = 73.76°, d 1.285, intensity 11

Unit cell a=4.0235 b=4.2034 c=16.0688 alpha=90.00 beta=90.00 gamma=90.00
Fractional positions:
Dy 0.0000 0.0000 0.0000
Dy 0.0000 0.5000 0.4824
Dy 0.5000 0.0000 0.7945
Dy 0.5000 0.5000 0.2842
Tc 0.0000 0.5000 0.6995
Ge 0.0000 0.0000 0.3289
Ge 0.0000 0.0000 0.6192
Ge 0.0000 0.5000 0.1391
Ge 0.0000 0.5000 0.8542
Ge 0.5000 0.0000 0.1449
Ge 0.5000 0.0000 0.4379
Ge 0.5000 0.5000 0.6155
Ge 0.5000 0.5000 0.9587



(2)
DyTcGe4: computed PXRD pattern (Cu Kα X-rays), based on the GGA-PBE geometry in Alexandria.

Top 6 peaks for 10 to 80 degrees two-theta, by angle:
2θ = 22.70°, d 3.917, intensity 44
2θ = 30.68°, d 2.914, intensity 100
2θ = 32.32°, d 2.770, intensity 33
2θ = 33.96°, d 2.640, intensity 61
2θ = 38.50°, d 2.338, intensity 34
2θ = 51.12°, d 1.787, intensity 61

Unit cell a=5.5398 b=5.5398 c=8.7216 alpha=90.00 beta=90.00 gamma=90.00
Fractional positions:
Dy 0.2500 0.7500 0.2500
Dy 0.7500 0.2500 0.7500
Tc 0.2500 0.7500 0.7500
Tc 0.7500 0.2500 0.2500
Ge 0.0319 0.2500 0.0401
Ge 0.2500 0.0319 0.5401
Ge 0.2500 0.4681 0.5401
Ge 0.4681 0.2500 0.0401
Ge 0.5319 0.7500 0.9599
Ge 0.7500 0.5319 0.4599
Ge 0.7500 0.9681 0.4599
Ge 0.9681 0.7500 0.9599



(3)
DyTh2Ge3: computed PXRD pattern (Cu Kα X-rays), based on the GGA-PBE geometry in Alexandria.

Top 6 peaks for 10 to 80 degrees two-theta, by angle:
2θ = 25.54°, d 3.488, intensity 30
2θ = 25.74°, d 3.461, intensity 29
2θ = 29.62°, d 3.016, intensity 51
2θ = 29.73°, d 3.005, intensity 100
2θ = 42.47°, d 2.129, intensity 77
2θ = 52.48°, d 1.744, intensity 21

Unit cell a=6.0314 b=12.6757 c=8.5494 alpha=90.00 beta=90.00 gamma=90.00
Fractional positions:
Dy 0.2496 0.0846 0.1245
Dy 0.2496 0.4154 0.6245
Dy 0.7504 0.5846 0.3755
Dy 0.7504 0.9154 0.8755
Th 0.2496 0.0830 0.6279
Th 0.2496 0.4170 0.1279
Th 0.2506 0.7483 0.1257
Th 0.2506 0.7517 0.6257
Th 0.7494 0.2483 0.3743
Th 0.7494 0.2517 0.8743
Th 0.7504 0.5830 0.8721
Th 0.7504 0.9170 0.3721
Ge 0.2493 0.2493 0.3766
Ge 0.2493 0.2507 0.8766
Ge 0.2504 0.5811 0.8720
Ge 0.2504 0.5822 0.3791
Ge 0.2504 0.9178 0.8791
Ge 0.2504 0.9189 0.3720
Ge 0.7496 0.0811 0.6280
Ge 0.7496 0.0822 0.1209
Ge 0.7496 0.4178 0.6209
Ge 0.7496 0.4189 0.1280
Ge 0.7507 0.7493 0.1234
Ge 0.7507 0.7507 0.6234



(4)
Dy2Zn16Ge: computed PXRD pattern (Cu Kα X-rays), based on the GGA-PBE geometry in Alexandria.

Top 6 peaks for 10 to 80 degrees two-theta, by angle:
2θ = 28.51°, d 3.131, intensity 24
2θ = 34.18°, d 2.623, intensity 42
2θ = 39.68°, d 2.272, intensity 53
2θ = 40.22°, d 2.242, intensity 100
2θ = 41.79°, d 2.162, intensity 43
2θ = 45.09°, d 2.011, intensity 26

Unit cell a=6.7960 b=6.7960 c=6.7960 alpha=83.91 beta=83.91 gamma=83.91
Fractional positions:
Dy 0.0000 0.0000 0.0000
Dy 0.3324 0.3324 0.3324
Zn 0.0145 0.0145 0.4992
Zn 0.0145 0.4992 0.0145
Zn 0.1551 0.6716 0.6716
Zn 0.3144 0.3144 0.8352
Zn 0.3144 0.8352 0.3144
Zn 0.3566 0.6658 0.9747
Zn 0.3566 0.9747 0.6658
Zn 0.4992 0.0145 0.0145
Zn 0.6658 0.3566 0.9747
Zn 0.6658 0.9747 0.3566
Zn 0.6716 0.1551 0.6716
Zn 0.6716 0.6716 0.1551
Zn 0.7610 0.7610 0.7610
Zn 0.8352 0.3144 0.3144
Zn 0.9747 0.3566 0.6658
Zn 0.9747 0.6658 0.3566
Ge 0.5631 0.5631 0.5631